This entry pairs a crystal structure of SmSiNi4 with its calculated powder diffraction line list. Radiation: CuKα. Structure: a GGA-PBE-relaxed structure.
Neutral-atom scattering factors, no anomalous dispersion.

Most intense lines, 2θ from 10° to 80°, by angle:
2theta	intensity
30.5	29
31.3	49
37.0	48
41.3	37
41.9	78
43.7	100
46.0	39
60.4	22
63.5	28
68.7	22

Structural model:
Lattice parameters (Å, degrees): 4.871 4.871 3.948 90.00 90.00 116.30
Fractional positions:
Sm (0.000, 0.000, 0.000)
Si (0.500, 0.500, 0.500)
Ni (0.000, 0.500, 0.500)
Ni (0.344, 0.656, 0.000)
Ni (0.500, 0.000, 0.500)
Ni (0.656, 0.344, 0.000)